No. 1
Co4C3: computed powder diffraction line list (Cu Kα X-rays), based on a cell relaxed with GGA-PBE.
No peak broadening, texture or thermal motion is included.

Atomic structure:
Lattice parameters (Å, degrees): 3.9217 3.9217 3.9217 90.00 90.00 90.00
Fractional positions:
1 Co 0.0000 0.0000 0.0000
2 Co 0.0000 0.5000 0.5000
3 Co 0.5000 0.0000 0.5000
4 Co 0.5000 0.5000 0.0000
5 C 0.0000 0.0000 0.5000
6 C 0.0000 0.5000 0.0000
7 C 0.5000 0.0000 0.0000

The 5 most intense peaks (2θ = 5–70°), low angle first:
two_theta, I_rel
22.7, 1
32.3, 1
39.8, 100
46.3, 76
67.6, 43

=====

No. 2
Er5Bi: computed powder diffraction line list (Cu Kα X-rays), based on a cell relaxed with GGA-PBE.
No peak broadening, texture or thermal motion is included.

Atomic structure:
Lattice parameters (Å, degrees): 7.8167 7.8167 4.8885 90.00 90.00 144.15
Fractional positions:
1 Er 0.0000 0.0000 0.0000
2 Er 0.1642 0.8358 0.5000
3 Er 0.3286 0.6714 0.0000
4 Er 0.6714 0.3286 0.0000
5 Er 0.8358 0.1642 0.5000
6 Bi 0.5000 0.5000 0.5000

The 10 most intense peaks (2θ = 5–70°), low angle first:
two_theta, I_rel
31.7, 100
36.2, 17
36.8, 17
37.4, 16
52.6, 12
53.0, 12
62.4, 14
63.1, 14
63.9, 14
66.3, 12

=====

No. 3
CsBa2CrBr8: computed powder diffraction line list (Cu Kα X-rays), based on a cell relaxed with GGA-PBE.
No peak broadening, texture or thermal motion is included.

Atomic structure:
Lattice parameters (Å, degrees): 6.6144 7.5718 9.9414 85.72 85.46 65.67
Fractional positions:
1 Cs 0.0000 0.0000 0.0000
2 Ba 0.4279 0.4534 0.2619
3 Ba 0.5721 0.5466 0.7381
4 Cr 0.0000 0.0000 0.5000
5 Br 0.0050 0.7473 0.6888
6 Br 0.0649 0.1993 0.6714
7 Br 0.4015 0.3031 0.9713
8 Br 0.4127 0.8066 0.4554
9 Br 0.5873 0.1934 0.5446
10 Br 0.5985 0.6969 0.0287
11 Br 0.9351 0.8007 0.3286
12 Br 0.9950 0.2527 0.3112

The 10 most intense peaks (2θ = 5–70°), low angle first:
two_theta, I_rel
15.1, 84
21.6, 41
22.6, 51
23.3, 75
26.3, 33
27.0, 70
28.8, 100
29.2, 45
29.7, 76
31.3, 73